Starting from DFT lattice parameters and positions (PBE), the X-ray diffraction stick pattern of NaGe5Os3 was calculated for copper Kα.

Most intense lines, 10° ≤ 2θ ≤ 90°, low angle first:
hkl 0 0 1, 2θ = 11.17°, d = 7.921 Å, intensity 100.0; hkl 1 0 0, 2θ = 19.40°, d = 4.576 Å, intensity 15.6; hkl 0 0 3, 2θ = 33.95°, d = 2.641 Å, intensity 15.7; hkl 2 0 0, 2θ = 39.38°, d = 2.288 Å, intensity 15.6; hkl 2 0 1, 2θ = 41.06°, d = 2.198 Å, intensity 44.6; hkl 0 0 4, 2θ = 45.80°, d = 1.981 Å, intensity 47.4

Structure:
Cell lengths 5.2844, 5.2844, 7.9213 Å; angles 90.00, 90.00, 120.00 degrees
Space group P6/mmm (No. 191)
Inequivalent atoms, fractional coordinates:
Na: 0.0000 0.0000 0.0000 (multiplicity 1)
Ge: 0.0000 0.0000 0.5000 (multiplicity 1)
Ge: 0.3333 0.6667 0.2277 (multiplicity 4)
Os: 0.0000 0.5000 0.5000 (multiplicity 3)